Record 1
The following is a calculated powder diffraction line list of La2MoO6. It was derived from a crystal structure in the Materials Project, relaxed with PBE+U, using copper Kα.
Neutral-atom scattering factors, no anomalous dispersion.

Crystal structure
Cell lengths 5.6418, 6.2236, 9.3712 Å; angles 90.00, 121.84, 90.00 degrees
Space group P2_1/c (No. 14)
Asymmetric unit:
1 La 0.2111 0.0832 0.2444
2 Mo 0.5000 0.0000 0.0000
3 O 0.1636 0.1544 0.9505
4 O 0.2797 0.7359 0.9167
5 O 0.4190 0.0671 0.7766

Most intense lines, 2θ from 10° to 90°, low angle first:
(hkl)	2θ/deg	I_rel
0 1 1	18.09	65
1 0 -2	20.12	38
1 1 -1	21.30	36
1 1 0	23.43	35
1 1 1	30.01	100
0 2 1	30.85	40
2 0 -2	31.85	44
1 1 -3	32.07	89

Record 2
The following is a calculated powder diffraction line list of Li2MnOF3. It was derived from a crystal structure in the Materials Project, relaxed with PBE+U, using copper Kα.
Neutral-atom scattering factors, no anomalous dispersion.

Crystal structure
Cell lengths 3.0622, 5.1489, 10.2743 Å; angles 100.77, 93.27, 103.97 degrees
Space group P-1 (No. 2)
Asymmetric unit:
1 Li 0.0000 0.0000 0.0000
2 Li 0.0000 0.0000 0.5000
3 Li 0.2141 0.4553 0.3876
4 Mn 0.2540 0.4839 0.8742
5 O 0.3869 0.7192 0.0492
6 F 0.0924 0.2692 0.1780
7 F 0.1747 0.3038 0.6931
8 F 0.3661 0.7444 0.5487

Most intense lines, 2θ from 10° to 90°, low angle first:
(hkl)	2θ/deg	I_rel
0 1 0	18.15	100
0 1 -1	18.47	30
1 0 1	32.51	19
1 -1 2	35.74	16
1 1 -2	40.38	46
1 -2 2	43.51	38
0 1 4	43.84	36
2 -1 0	60.64	22

Record 3
The following is a calculated powder diffraction line list of W3O8. It was derived from a crystal structure in the Materials Project, relaxed with PBE+U, using copper Kα.
Neutral-atom scattering factors, no anomalous dispersion.

Crystal structure
Cell lengths 12.5190, 7.7388, 6.2599 Å; angles 90.00, 117.43, 90.00 degrees
Space group Cm (No. 8)
Asymmetric unit:
1 W 0.0000 0.0000 0.0000
2 W 0.0002 0.5000 0.0023
3 W 0.1833 0.5000 0.6344
4 W 0.1842 0.0000 0.6335
5 W 0.3428 0.0000 0.3143
6 W 0.3433 0.5000 0.3158
7 O 0.0091 0.5000 0.3463
8 O 0.0111 0.0000 0.3498
9 O 0.0935 0.0000 0.8142
10 O 0.0953 0.5000 0.8108
11 O 0.1731 0.5000 0.2783
12 O 0.1736 0.0000 0.2791
13 O 0.1883 0.2421 0.6246
14 O 0.3248 0.0000 0.9785
15 O 0.3285 0.5000 0.9837
16 O 0.3425 0.2501 0.3162
17 O 0.3613 0.5000 0.6546
18 O 0.3616 0.0000 0.6548
19 O 0.4985 0.2566 0.0044

Most intense lines, 2θ from 10° to 90°, low angle first:
(hkl)	2θ/deg	I_rel
0 2 0	22.98	100
2 0 1	27.44	61
4 0 -1	28.55	99
2 2 1	36.09	41
4 2 -1	36.96	68
6 0 0	49.20	29
6 2 0	54.97	31
4 4 -1	55.88	30

Record 4
The following is a calculated powder diffraction line list of Al2W2O7. It was derived from a crystal structure in the Materials Project, relaxed with PBE+U, using copper Kα.
Neutral-atom scattering factors, no anomalous dispersion.

Crystal structure
Cell lengths 6.2942, 7.0073, 7.1855 Å; angles 66.67, 69.50, 67.73 degrees
Space group P1 (No. 1)
Asymmetric unit:
1 Al 0.0000 0.0000 0.0000
2 Al 0.0735 0.9587 0.5408
3 Al 0.2282 0.3263 0.8534
4 Al 0.6122 0.8982 0.9387
5 W 0.1341 0.4784 0.3290
6 W 0.5803 0.4573 0.4299
7 W 0.5981 0.4746 0.9147
8 W 0.6094 0.9407 0.4135
9 O 0.2082 0.4604 0.5788
10 O 0.2535 0.1407 0.4446
11 O 0.2661 0.4590 0.0147
12 O 0.3044 0.0361 0.9310
13 O 0.3858 0.7570 0.4875
14 O 0.5295 0.6422 0.1300
15 O 0.5624 0.3257 0.7311
16 O 0.6409 0.0514 0.1026
17 O 0.6413 0.7643 0.7335
18 O 0.7885 0.1066 0.4531
19 O 0.8900 0.4566 0.2499
20 O 0.9275 0.2956 0.9310
21 O 0.9450 0.9037 0.8192
22 O 0.9872 0.8072 0.2683

Most intense lines, 2θ from 10° to 90°, low angle first:
(hkl)	2θ/deg	I_rel
0 0 1	13.81	66
0 1 0	14.34	70
1 0 0	15.65	74
1 1 1	17.16	47
0 0 2	27.83	87
0 2 0	28.90	100
2 0 0	31.61	69
2 2 2	34.71	46

Record 5
The following is a calculated powder diffraction line list of Mn3Cd2O8. It was derived from a crystal structure in the Materials Project, relaxed with PBE+U, using copper Kα.
Neutral-atom scattering factors, no anomalous dispersion.

Crystal structure
Cell lengths 10.8987, 5.9319, 5.0414 Å; angles 90.00, 108.68, 90.00 degrees
Space group C2/m (No. 12)
Asymmetric unit:
1 Mn 0.0000 0.0000 0.0000
2 Mn 0.0000 0.2574 0.5000
3 Cd 0.2194 0.5000 0.1569
4 O 0.0969 0.0000 0.3998
5 O 0.1034 0.2217 0.8869
6 O 0.1037 0.5000 0.4510

Most intense lines, 2θ from 10° to 90°, low angle first:
(hkl)	2θ/deg	I_rel
1 1 -1	23.31	47
1 1 1	27.44	92
2 0 1	29.26	39
3 1 0	30.02	40
3 1 -1	30.67	100
2 2 0	34.89	61
1 1 2	44.30	33
4 2 1	55.07	41

Record 6
The following is a calculated powder diffraction line list of Li2Fe3F8. It was derived from a crystal structure in the Materials Project, relaxed with PBE+U, using copper Kα.
Neutral-atom scattering factors, no anomalous dispersion.

Crystal structure
Cell lengths 5.3481, 5.6908, 5.9274 Å; angles 73.37, 89.85, 62.67 degrees
Space group P-1 (No. 2)
Asymmetric unit:
1 Li 0.0529 0.4103 0.2563
2 Fe 0.2649 0.9698 0.8601
3 Fe 0.5000 0.5000 0.5000
4 F 0.1855 0.7359 0.1830
5 F 0.2182 0.7343 0.6852
6 F 0.2818 0.2660 0.5615
7 F 0.2848 0.2290 0.0429

Most intense lines, 2θ from 10° to 90°, low angle first:
(hkl)	2θ/deg	I_rel
0 1 1	20.15	100
1 0 1	26.52	71
1 1 -1	26.82	68
0 1 -1	28.10	72
-1 1 1	32.01	54
1 2 1	32.30	43
2 0 0	38.33	39
1 3 2	51.44	42

Record 7
The following is a calculated powder diffraction line list of LiCo2B2O6. It was derived from a crystal structure in the Materials Project, relaxed with PBE+U, using copper Kα.
Neutral-atom scattering factors, no anomalous dispersion.

Crystal structure
Cell lengths 5.1199, 5.1975, 5.7954 Å; angles 66.21, 65.38, 60.71 degrees
Space group P1 (No. 1)
Asymmetric unit:
1 Li 0.0000 0.0000 0.0000
2 Co 0.3636 0.3407 0.9123
3 Co 0.8466 0.5426 0.4281
4 B 0.5114 0.1961 0.4292
5 B 0.6883 0.6771 0.9377
6 O 0.2514 0.2477 0.3745
7 O 0.4185 0.9261 0.9509
8 O 0.5236 0.4075 0.5082
9 O 0.7325 0.4367 0.8523
10 O 0.7757 0.9373 0.3849
11 O 0.9336 0.6462 0.0114

Most intense lines, 2θ from 10° to 90°, low angle first:
(hkl)	2θ/deg	I_rel
0 1 0	20.24	99
1 1 1	21.04	36
1 1 0	22.71	59
1 0 1	23.14	100
1 -1 0	34.41	33
2 1 1	35.07	31
0 0 2	35.20	92
2 0 0	42.09	24